1.
The following is a calculated powder diffractogram of Gd3HfPt. It was derived from DFT lattice parameters and positions (GGA-PBE), using Cu Kα.
No peak broadening, texture or thermal motion is included.

Structure:
Unit cell a=7.664 b=7.664 c=7.664 alpha=59.68 beta=59.68 gamma=59.68
Atoms (fractional coordinates):
Gd 0.230 0.750 0.270
Gd 0.250 0.730 0.770
Gd 0.270 0.230 0.750
Gd 0.730 0.770 0.250
Gd 0.750 0.270 0.230
Gd 0.770 0.250 0.730
Hf 0.250 0.250 0.250
Hf 0.750 0.750 0.750
Pt 0.000 0.000 0.000
Pt 0.500 0.500 0.500

Principal peaks in the range 10° ≤ 2θ ≤ 80°, in order of rising 2θ:
Position (°2θ)  d [Å]  I_rel
16.40  5.406  23
23.21  3.832  17
23.33  3.813  16
28.46  3.137  15
28.65  3.116  42
33.14  2.703  100
47.45  1.916  37
47.70  1.907  35
59.31  1.558  18
79.06  1.211  16

2.
The following is a calculated powder diffractogram of GdHfSi2Pt4. It was derived from DFT lattice parameters and positions (GGA-PBE), using Cu Kα.
No peak broadening, texture or thermal motion is included.

Structure:
Unit cell a=7.021 b=3.869 c=9.949 alpha=90.00 beta=90.00 gamma=90.00
Atoms (fractional coordinates):
Gd 0.000 0.000 0.000
Gd 0.000 0.500 0.500
Hf 0.500 0.000 0.109
Hf 0.500 0.500 0.609
Si 0.000 0.000 0.284
Si 0.000 0.500 0.784
Si 0.500 0.000 0.826
Si 0.500 0.500 0.326
Pt 0.206 0.000 0.696
Pt 0.206 0.500 0.196
Pt 0.304 0.000 0.415
Pt 0.304 0.500 0.915
Pt 0.696 0.000 0.415
Pt 0.696 0.500 0.915
Pt 0.794 0.000 0.696
Pt 0.794 0.500 0.196

Principal peaks in the range 10° ≤ 2θ ≤ 80°, in order of rising 2θ:
Position (°2θ)  d [Å]  I_rel
27.82  3.207  12
35.68  2.516  100
37.97  2.370  20
42.70  2.118  22
44.27  2.046  10
44.65  2.029  15
46.98  1.934  18
65.34  1.428  13
66.21  1.411  15
79.81  1.202  10

3.
The following is a calculated powder diffractogram of SmGdHf2Sb2. It was derived from DFT lattice parameters and positions (GGA-PBE), using Cu Kα.
No peak broadening, texture or thermal motion is included.

Structure:
Unit cell a=4.294 b=4.294 c=16.715 alpha=90.00 beta=90.00 gamma=90.00
Atoms (fractional coordinates):
Sm 0.000 0.000 0.000
Sm 0.500 0.500 0.500
Gd 0.000 0.000 0.353
Gd 0.500 0.500 0.853
Hf 0.000 0.500 0.177
Hf 0.000 0.500 0.677
Hf 0.500 0.000 0.177
Hf 0.500 0.000 0.677
Sb 0.000 0.000 0.548
Sb 0.000 0.000 0.807
Sb 0.500 0.500 0.048
Sb 0.500 0.500 0.307

Principal peaks in the range 10° ≤ 2θ ≤ 80°, in order of rising 2θ:
Position (°2θ)  d [Å]  I_rel
10.59  8.358  24
31.34  2.854  99
32.13  2.786  35
33.99  2.638  37
36.58  2.456  100
42.09  2.147  60
53.91  1.701  33
61.03  1.518  20
70.22  1.340  20
73.30  1.291  26

4.
The following is a calculated powder diffractogram of GdHg. It was derived from DFT lattice parameters and positions (GGA-PBE), using Cu Kα.
No peak broadening, texture or thermal motion is included.

Structure:
Unit cell a=3.727 b=3.727 c=3.727 alpha=90.00 beta=90.00 gamma=90.00
Atoms (fractional coordinates):
Gd 0.000 0.000 0.000
Hg 0.500 0.500 0.500

Principal peaks in the range 10° ≤ 2θ ≤ 80°, in order of rising 2θ:
Position (°2θ)  d [Å]  I_rel
23.87  3.727  2
34.02  2.636  100
41.98  2.152  1
48.87  1.864  18
55.10  1.667  1
60.88  1.522  38
71.61  1.318  12

5.
The following is a calculated powder diffractogram of Gd2Mg5Hg. It was derived from DFT lattice parameters and positions (GGA-PBE), using Cu Kα.
No peak broadening, texture or thermal motion is included.

Structure:
Unit cell a=5.087 b=6.537 c=11.738 alpha=90.00 beta=90.00 gamma=90.00
Atoms (fractional coordinates):
Gd 0.000 0.000 0.000
Gd 0.000 0.500 0.500
Gd 0.500 0.000 0.351
Gd 0.500 0.500 0.851
Mg 0.000 0.000 0.517
Mg 0.000 0.248 0.753
Mg 0.000 0.252 0.253
Mg 0.000 0.500 0.017
Mg 0.000 0.748 0.253
Mg 0.000 0.752 0.753
Mg 0.500 0.242 0.604
Mg 0.500 0.258 0.104
Mg 0.500 0.742 0.104
Mg 0.500 0.758 0.604
Hg 0.500 0.000 0.843
Hg 0.500 0.500 0.343

Principal peaks in the range 10° ≤ 2θ ≤ 80°, in order of rising 2θ:
Position (°2θ)  d [Å]  I_rel
15.10  5.869  53
15.52  5.711  30
23.14  3.844  72
27.28  3.269  33
31.32  2.856  37
35.30  2.542  100
36.07  2.490  98
45.18  2.007  47
47.89  1.899  23
68.22  1.375  29